For NdYCuSi3, DFT lattice parameters and positions (PBE) gives the theoretical PXRD pattern in this record (Cu Kα).
No peak broadening, texture or thermal motion is included.

a = 8.1215 Å, b = 8.0487 Å, c = 5.7969 Å
α = 69.67°, β = 68.32°, γ = 42.01°
Positions (direct):
Nd 0.2435 0.7565 0.2435
Nd 0.7565 0.2435 0.7565
Y 0.2500 0.2500 0.2500
Y 0.7500 0.7500 0.7500
Cu 0.3328 0.3328 0.6672
Cu 0.6672 0.6672 0.3328
Si 0.1700 0.1700 0.8300
Si 0.1697 0.6595 0.8303
Si 0.3405 0.8303 0.6595
Si 0.6595 0.1697 0.3405
Si 0.8303 0.3405 0.1697
Si 0.8300 0.8300 0.1700

Principal peaks in the range 5 to 70 degrees two-theta, low angle first:
2θ/deg, intensity
21.3, 3
22.1, 4
24.6, 3
24.9, 4
25.6, 25
33.5, 100
43.4, 12
45.0, 33
51.0, 8
52.5, 4
57.3, 21
64.3, 22

For NdSmCu4, DFT lattice parameters and positions (PBE) gives the theoretical PXRD pattern in this record (Cu Kα).
No peak broadening, texture or thermal motion is included.

a = 5.5703 Å, b = 5.5703 Å, c = 5.5703 Å
α = 134.34°, β = 101.19°, γ = 96.14°
Positions (direct):
Nd 0.0000 0.0000 0.0000
Sm 0.4272 0.9272 0.5000
Cu 0.0019 0.2977 0.7042
Cu 0.4247 0.6285 0.7962
Cu 0.5934 0.2977 0.2958
Cu 0.8322 0.6285 0.2038

Principal peaks in the range 5 to 70 degrees two-theta, low angle first:
2θ/deg, intensity
23.8, 12
34.2, 18
35.0, 100
38.4, 6
40.1, 9
41.8, 21
42.0, 32
51.7, 6
55.6, 16
57.7, 8
67.7, 10
68.7, 7

For Nd2YCu4Sn4, DFT lattice parameters and positions (PBE) gives the theoretical PXRD pattern in this record (Cu Kα).
No peak broadening, texture or thermal motion is included.

a = 8.5685 Å, b = 8.5685 Å, c = 8.5685 Å
α = 149.10°, β = 132.26°, γ = 57.96°
Positions (direct):
Nd 0.1326 0.1326 0.0000
Nd 0.8674 0.8674 0.0000
Y 0.5000 0.0000 0.5000
Cu 0.1474 0.3318 0.8156
Cu 0.4838 0.6682 0.8156
Cu 0.5162 0.3318 0.1844
Cu 0.8526 0.6682 0.1844
Sn 0.2053 0.5000 0.7053
Sn 0.2850 0.7850 0.5000
Sn 0.7150 0.2150 0.5000
Sn 0.7947 0.5000 0.2947

Principal peaks in the range 5 to 70 degrees two-theta, low angle first:
2θ/deg, intensity
32.5, 26
33.0, 100
33.5, 99
35.9, 20
39.5, 49
43.1, 22
44.6, 28
45.6, 18
59.9, 16
65.4, 16
67.5, 22
67.8, 21